1.
LaNdHo2Tm2: calculated PXRD pattern (Cu Ka), based on the PBE geometry in Alexandria.
Lines closer than 0.1° are merged.

Main lines, in order of rising 2θ (2θ = 5–70°):
hkl 2 0 0, 2θ 25.5, intensity 14; hkl 2 2 0, 2θ 27.9, intensity 42; hkl 0 3 1, 2θ 30.1, intensity 100; hkl 0 6 0, 2θ 33.6, intensity 36; hkl 2 4 0, 2θ 34.1, intensity 43; hkl 2 1 1, 2θ 36.4, intensity 57; hkl 2 3 1, 2θ 39.9, intensity 15; hkl 2 5 1, 2θ 46.1, intensity 15; hkl 2 7 1, 2θ 54.4, intensity 27; hkl 0 9 1, 2θ 58.0, intensity 16; hkl 4 3 1, 2θ 61.7, intensity 26; hkl 2 4 2, 2θ 62.9, intensity 15

Structure:
Unit cell a=6.981 b=16.004 c=3.570 alpha=90.00 beta=90.00 gamma=90.00
Space group Pnnm (No. 58)
Unique sites:
La: 0.000 0.000 0.000 [2 per cell]
Nd: 0.000 0.500 0.500 [2 per cell]
Ho: 0.250 0.159 0.500 [4 per cell]
Tm: 0.249 0.342 0.000 [4 per cell]



2.
CaH6CI3N3: calculated PXRD pattern (Cu Ka), based on the PBE geometry in Alexandria.
Lines closer than 0.1° are merged.

Main lines, in order of rising 2θ (2θ = 5–70°):
hkl 1 0 -2, 2θ 10.7, intensity 62; hkl 0 0 4, 2θ 21.5, intensity 13; hkl 1 1 2, 2θ 21.8, intensity 24; hkl 0 2 0, 2θ 22.7, intensity 37; hkl 2 1 -4, 2θ 24.4, intensity 100; hkl 3 1 -2, 2θ 30.9, intensity 42; hkl 0 2 4, 2θ 31.5, intensity 26; hkl 3 2 -2, 2θ 36.8, intensity 13; hkl 3 0 2, 2θ 39.3, intensity 18; hkl 0 3 4, 2θ 40.9, intensity 22; hkl 3 3 -2, 2θ 45.3, intensity 12; hkl 5 1 -2, 2θ 52.1, intensity 12

Structure:
Unit cell a=9.543 b=7.833 c=19.034 alpha=90.00 beta=120.07 gamma=90.00
Space group P2_1/c (No. 14)
Unique sites:
Ca: 0.000 0.020 0.250 [4 per cell]
H: 0.087 0.250 0.013 [4 per cell]
H: 0.161 0.234 0.618 [4 per cell]
H: 0.266 0.241 0.963 [4 per cell]
H: 0.425 0.730 0.829 [4 per cell]
H: 0.440 0.223 0.707 [4 per cell]
H: 0.475 0.250 0.031 [4 per cell]
C: 0.334 0.241 0.584 [4 per cell]
I: 0.102 0.731 0.654 [4 per cell]
I: 0.193 0.730 0.898 [4 per cell]
I: 0.295 0.229 0.802 [4 per cell]
N: 0.183 0.241 0.571 [4 per cell]
N: 0.360 0.247 0.021 [4 per cell]
N: 0.459 0.229 0.659 [4 per cell]